Na3Ca3AlAs4: computed PXRD pattern (Cu Kα, 1.54184 Å), based on a GGA-PBE-relaxed structure.
Kinematic intensities with the Lorentz-polarization factor, no thermal factor.

Structural model:
```
data_Na3Ca3AlAs4
_space_group_name_H-M_alt 'P 63 m c'
_space_group_IT_number 186
_space_group_name_Hall 'P 6c -2c'
_cell_length_a 9.4751
_cell_length_b 9.4751
_cell_length_c 7.2328
_cell_angle_alpha 90.00
_cell_angle_beta 90.00
_cell_angle_gamma 120.00
loop_
_atom_site_label
_atom_site_type_symbol
_atom_site_fract_x
_atom_site_fract_y
_atom_site_fract_z
Na1 Na 0.1374 0.2748 0.0000
Ca1 Ca 0.0506 0.5253 0.3277
Al1 Al 0.3333 0.6667 0.7054
As1 As 0.1902 0.3804 0.5984
As2 As 0.3333 0.6667 0.0556
```

The 10 most intense peaks (15 to 90 degrees two-theta), low angle first:
d [Å]  Rel. int.  (hkl)
3.616  21  0 0 2
3.569  93  2 0 1
2.850  39  2 1 1
2.713  100  2 0 2
2.558  37  3 0 1
2.369  79  2 2 0
2.354  19  2 1 2
2.079  40  2 0 3
1.982  17  2 2 2
1.437  17  2 2 4

***

MgTe2Mo2W2Se4S2: computed PXRD pattern (Cu Kα, 1.54184 Å), based on a GGA-PBE-relaxed structure.
Kinematic intensities with the Lorentz-polarization factor, no thermal factor.

Structural model:
```
data_MgTe2Mo2W2Se4S2
_space_group_name_H-M_alt 'P 3 m 1'
_space_group_IT_number 156
_space_group_name_Hall 'P 3 -2"'
_cell_length_a 3.3342
_cell_length_b 3.3342
_cell_length_c 45.7691
_cell_angle_alpha 90.00
_cell_angle_beta 90.00
_cell_angle_gamma 120.00
loop_
_atom_site_label
_atom_site_type_symbol
_atom_site_fract_x
_atom_site_fract_y
_atom_site_fract_z
Mg1 Mg 0.0000 0.0000 0.0000
Te1 Te 0.6667 0.3333 0.6725
Te2 Te 0.6667 0.3333 0.7556
Mo1 Mo 0.3333 0.6667 0.0972
Mo2 Mo 0.3333 0.6667 0.7140
W1 W 0.6667 0.3333 0.2780
W2 W 0.6667 0.3333 0.8944
Se1 Se 0.3333 0.6667 0.8577
Se2 Se 0.3333 0.6667 0.9313
Se3 Se 0.6667 0.3333 0.0601
Se4 Se 0.6667 0.3333 0.1336
S1 S 0.3333 0.6667 0.2447
S2 S 0.3333 0.6667 0.3113
```

The 10 most intense peaks (15 to 90 degrees two-theta), low angle first:
d [Å]  Rel. int.  (hkl)
2.887  58  1 0 0
2.754  40  1 0 5
2.578  79  0 1 8
2.442  34  1 0 10
2.233  100  0 1 13
2.164  20  1 0 14
2.097  27  0 1 15
1.908  21  0 1 18
1.667  43  1 1 0
1.640  34  1 1 5

***

Ce5Cu19P12: computed PXRD pattern (Cu Kα, 1.54184 Å), based on a GGA-PBE-relaxed structure.
Kinematic intensities with the Lorentz-polarization factor, no thermal factor.

Structural model:
```
data_Ce5Cu19P12
_space_group_name_H-M_alt 'P -6 2 m'
_space_group_IT_number 189
_space_group_name_Hall 'P -6 -2'
_cell_length_a 12.6457
_cell_length_b 12.6457
_cell_length_c 3.8829
_cell_angle_alpha 90.00
_cell_angle_beta 90.00
_cell_angle_gamma 120.00
loop_
_atom_site_label
_atom_site_type_symbol
_atom_site_fract_x
_atom_site_fract_y
_atom_site_fract_z
Ce1 Ce 0.0000 0.1862 0.0000
Ce2 Ce 0.3333 0.6667 0.5000
Cu1 Cu 0.0000 0.0000 0.5000
Cu2 Cu 0.0000 0.5445 0.5000
Cu3 Cu 0.0000 0.7099 0.0000
Cu4 Cu 0.1176 0.4783 0.0000
Cu5 Cu 0.1735 0.7937 0.5000
P1 P 0.0000 0.3601 0.5000
P2 P 0.0000 0.8242 0.5000
P3 P 0.1728 0.6872 0.0000
```

The 10 most intense peaks (15 to 90 degrees two-theta), low angle first:
d [Å]  Rel. int.  (hkl)
3.162  10  2 2 0
2.452  100  2 2 1
2.391  39  4 1 0
2.108  10  3 3 0
1.941  22  0 0 2
1.825  18  6 0 0
1.634  10  4 3 1
1.359  10  7 1 1
1.330  12  6 0 2
1.198  9  2 2 3

***

TaTiGaO6: computed PXRD pattern (Cu Kα, 1.54184 Å), based on a GGA-PBE-relaxed structure.
Kinematic intensities with the Lorentz-polarization factor, no thermal factor.

Structural model:
```
data_TaTiGaO6
_space_group_name_H-M_alt 'P 42 n m'
_space_group_IT_number 102
_space_group_name_Hall 'P 4n -2n'
_cell_length_a 4.678
_cell_length_b 4.678
_cell_length_c 9.081
_cell_angle_alpha 90.00
_cell_angle_beta 90.00
_cell_angle_gamma 90.00
loop_
_atom_site_label
_atom_site_type_symbol
_atom_site_fract_x
_atom_site_fract_y
_atom_site_fract_z
Ta1 Ta 0.000 0.000 0.000
Ti1 Ti 0.000 0.000 0.666
Ga1 Ga 0.000 0.000 0.334
O1 O 0.195 0.195 0.502
O2 O 0.195 0.195 0.832
O3 O 0.199 0.199 0.166
```

The 10 most intense peaks (15 to 90 degrees two-theta), low angle first:
d [Å]  Rel. int.  (hkl)
4.540  16  0 0 2
4.159  49  1 0 1
3.308  100  1 1 0
2.674  17  1 1 2
2.541  72  1 0 3
2.339  20  2 0 0
2.039  16  2 1 1
1.721  64  2 1 3
1.654  17  2 2 0
1.386  20  3 0 3

***

Nd2Ga3Cu: computed PXRD pattern (Cu Kα, 1.54184 Å), based on a GGA-PBE-relaxed structure.
Kinematic intensities with the Lorentz-polarization factor, no thermal factor.

Structural model:
```
data_Nd2Ga3Cu
_space_group_name_H-M_alt 'P 3 m 1'
_space_group_IT_number 156
_space_group_name_Hall 'P 3 -2"'
_cell_length_a 4.4553
_cell_length_b 4.4553
_cell_length_c 7.6076
_cell_angle_alpha 90.00
_cell_angle_beta 90.00
_cell_angle_gamma 120.00
loop_
_atom_site_label
_atom_site_type_symbol
_atom_site_fract_x
_atom_site_fract_y
_atom_site_fract_z
Nd1 Nd 0.0000 0.0000 0.0000
Nd2 Nd 0.0000 0.0000 0.4705
Ga1 Ga 0.3333 0.6667 0.2205
Ga2 Ga 0.3333 0.6667 0.7807
Ga3 Ga 0.6667 0.3333 0.6929
Cu1 Cu 0.6667 0.3333 0.2657
```

The 10 most intense peaks (15 to 90 degrees two-theta), low angle first:
d [Å]  Rel. int.  (hkl)
3.858  15  1 0 0
2.709  100  1 0 2
2.228  55  1 1 0
2.119  8  0 1 3
1.902  7  0 0 4
1.721  26  0 2 2
1.446  17  1 1 4
1.362  23  2 1 2
1.286  9  3 0 0
1.114  6  2 2 0

***

Te7RuI6: computed PXRD pattern (Cu Kα, 1.54184 Å), based on a GGA-PBE-relaxed structure.
Kinematic intensities with the Lorentz-polarization factor, no thermal factor.

Structural model:
```
data_Te7RuI6
_space_group_name_H-M_alt 'P -1'
_space_group_IT_number 2
_space_group_name_Hall '-P 1'
_cell_length_a 10.267
_cell_length_b 10.466
_cell_length_c 11.727
_cell_angle_alpha 102.30
_cell_angle_beta 103.59
_cell_angle_gamma 110.87
loop_
_atom_site_label
_atom_site_type_symbol
_atom_site_fract_x
_atom_site_fract_y
_atom_site_fract_z
Te1 Te 0.020 0.329 0.024
Te2 Te 0.075 0.985 0.292
Te3 Te 0.099 0.751 0.711
Te4 Te 0.182 0.273 0.869
Te5 Te 0.198 0.068 0.020
Te6 Te 0.247 0.881 0.173
Te7 Te 0.284 0.379 0.328
Ru1 Ru 0.047 0.161 0.161
I1 I 0.115 0.580 0.332
I2 I 0.179 0.329 0.544
I3 I 0.289 0.021 0.685
I4 I 0.331 0.745 0.908
I5 I 0.415 0.524 0.153
I6 I 0.476 0.229 0.385
```

The 10 most intense peaks (15 to 90 degrees two-theta), low angle first:
d [Å]  Rel. int.  (hkl)
3.231  100  1 1 2
3.209  52  -3 1 2
3.007  65  2 1 1
2.983  53  3 -2 1
2.955  34  -3 2 2
2.845  35  0 1 -4
2.821  36  -3 1 3
2.813  44  1 -3 3
2.740  40  2 2 -3
2.134  32  1 -4 4

***

Ca3Pd2: computed PXRD pattern (Cu Kα, 1.54184 Å), based on a GGA-PBE-relaxed structure.
Kinematic intensities with the Lorentz-polarization factor, no thermal factor.

Structural model:
```
data_Ca3Pd2
_space_group_name_H-M_alt 'R -3'
_space_group_IT_number 148
_space_group_name_Hall '-R 3'
_cell_length_a 9.0117
_cell_length_b 9.0117
_cell_length_c 16.9077
_cell_angle_alpha 90.00
_cell_angle_beta 90.00
_cell_angle_gamma 120.00
loop_
_atom_site_label
_atom_site_type_symbol
_atom_site_fract_x
_atom_site_fract_y
_atom_site_fract_z
Ca1 Ca 0.0000 0.0000 0.0000
Ca2 Ca 0.0000 0.0000 0.2056
Ca3 Ca 0.0143 0.2612 0.5932
Pd1 Pd 0.0221 0.6088 0.5666
```

The 10 most intense peaks (15 to 90 degrees two-theta), low angle first:
d [Å]  Rel. int.  (hkl)
4.506  46  1 1 0
3.519  61  2 -1 3
2.818  42  0 0 6
2.785  100  1 2 2
2.601  57  3 0 0
2.419  67  3 -1 4
2.389  73  1 1 6
2.147  32  4 -3 1
1.927  28  4 -3 4
1.823  27  3 1 5

***

Li5B4: computed PXRD pattern (Cu Kα, 1.54184 Å), based on a GGA-PBE-relaxed structure.
Kinematic intensities with the Lorentz-polarization factor, no thermal factor.

Structural model:
```
data_Li5B4
_space_group_name_H-M_alt 'R 3 m'
_space_group_IT_number 160
_space_group_name_Hall 'R 3 -2"'
_cell_length_a 6.4131
_cell_length_b 6.4131
_cell_length_c 9.1491
_cell_angle_alpha 90.00
_cell_angle_beta 90.00
_cell_angle_gamma 120.00
loop_
_atom_site_label
_atom_site_type_symbol
_atom_site_fract_x
_atom_site_fract_y
_atom_site_fract_z
Li1 Li 0.0000 0.0000 0.0000
Li2 Li 0.0000 0.0000 0.4771
Li3 Li 0.0443 0.5222 0.9242
B1 B 0.0000 0.0000 0.7128
B2 B 0.0609 0.5304 0.4412
```

The 10 most intense peaks (15 to 90 degrees two-theta), low angle first:
d [Å]  Rel. int.  (hkl)
4.748  100  1 0 1
3.531  61  0 1 2
3.050  15  0 0 3
2.374  90  2 0 2
2.115  29  1 0 4
1.908  33  1 2 2
1.851  17  3 0 0
1.766  50  0 2 4
1.603  37  2 2 0
1.113  18  3 2 4

***

CaGaBiB2O7: computed PXRD pattern (Cu Kα, 1.54184 Å), based on a GGA-PBE-relaxed structure.
Kinematic intensities with the Lorentz-polarization factor, no thermal factor.

Structural model:
```
data_CaGaBiB2O7
_space_group_name_H-M_alt 'C m m 2'
_space_group_IT_number 35
_space_group_name_Hall 'C 2 -2'
_cell_length_a 10.585
_cell_length_b 10.590
_cell_length_c 4.833
_cell_angle_alpha 90.00
_cell_angle_beta 90.00
_cell_angle_gamma 90.00
loop_
_atom_site_label
_atom_site_type_symbol
_atom_site_fract_x
_atom_site_fract_y
_atom_site_fract_z
Ca1 Ca 0.000 0.163 0.000
Ga1 Ga 0.250 0.250 0.497
Bi1 Bi 0.167 0.500 0.993
B1 B 0.000 0.365 0.441
B2 B 0.130 0.000 0.552
O1 O 0.000 0.000 0.655
O2 O 0.000 0.352 0.733
O3 O 0.000 0.500 0.343
O4 O 0.114 0.308 0.292
O5 O 0.143 0.000 0.256
O6 O 0.192 0.114 0.703
```

The 10 most intense peaks (15 to 90 degrees two-theta), low angle first:
d [Å]  Rel. int.  (hkl)
5.294  41  0 2 0
3.570  69  0 2 1
3.348  35  3 1 0
2.959  57  2 2 1
2.752  100  3 1 1
2.367  26  2 4 0
1.959  41  3 1 2
1.691  24  2 4 2
1.658  23  6 0 1
1.452  21  3 1 3

***

Ho3GaO6: computed PXRD pattern (Cu Kα, 1.54184 Å), based on a GGA-PBE-relaxed structure.
Kinematic intensities with the Lorentz-polarization factor, no thermal factor.

Structural model:
```
data_Ho3GaO6
_space_group_name_H-M_alt 'C m c 21'
_space_group_IT_number 36
_space_group_name_Hall 'C 2c -2'
_cell_length_a 8.863
_cell_length_b 11.115
_cell_length_c 5.420
_cell_angle_alpha 90.00
_cell_angle_beta 90.00
_cell_angle_gamma 90.00
loop_
_atom_site_label
_atom_site_type_symbol
_atom_site_fract_x
_atom_site_fract_y
_atom_site_fract_z
Ho1 Ho 0.000 0.102 0.000
Ho2 Ho 0.194 0.395 0.952
Ga1 Ga 0.000 0.307 0.421
O1 O 0.000 0.285 0.760
O2 O 0.000 0.461 0.275
O3 O 0.159 0.235 0.241
O4 O 0.160 0.017 0.725
```

The 10 most intense peaks (15 to 90 degrees two-theta), low angle first:
d [Å]  Rel. int.  (hkl)
4.269  15  1 1 1
2.919  100  2 2 1
2.891  41  1 3 1
2.855  18  3 1 0
2.710  21  0 0 2
1.966  23  3 1 2
1.940  18  0 4 2
1.776  23  3 5 0
1.534  17  5 3 1
1.486  13  3 5 2

***

Dy2SiO5: computed PXRD pattern (Cu Kα, 1.54184 Å), based on a GGA-PBE-relaxed structure.
Kinematic intensities with the Lorentz-polarization factor, no thermal factor.

Structural model:
```
data_Dy2SiO5
_space_group_name_H-M_alt 'P 1 21/c 1'
_space_group_IT_number 14
_space_group_name_Hall '-P 2ybc'
_cell_length_a 9.140
_cell_length_b 6.903
_cell_length_c 6.753
_cell_angle_alpha 90.00
_cell_angle_beta 105.87
_cell_angle_gamma 90.00
loop_
_atom_site_label
_atom_site_type_symbol
_atom_site_fract_x
_atom_site_fract_y
_atom_site_fract_z
Dy1 Dy 0.029 0.124 0.231
Dy2 Dy 0.374 0.140 0.057
Si1 Si 0.299 0.590 0.025
O1 O 0.114 0.119 0.939
O2 O 0.115 0.636 0.986
O3 O 0.292 0.072 0.338
O4 O 0.372 0.050 0.724
O5 O 0.396 0.717 0.520
```

The 10 most intense peaks (15 to 90 degrees two-theta), low angle first:
d [Å]  Rel. int.  (hkl)
5.430  43  1 1 0
4.731  21  0 1 1
4.396  21  2 0 0
3.044  100  2 0 -2
2.931  47  3 0 0
2.807  44  1 0 2
2.772  64  1 2 1
2.670  53  2 2 -1
1.989  34  3 2 1
1.885  40  1 2 -3